Theoretical X-ray diffraction stick pattern of PuVS3 for Cu Kα (weighted mean of Kα1 and Kα2), from DFT lattice parameters and positions (PBE).
No peak broadening, texture or thermal motion is included.

a b c (Å): 6.048 6.048 8.082
angles (deg): 109.56 109.56 44.91
Fractional positions:
Pu 0.099 0.099 0.373
Pu 0.901 0.901 0.627
V 0.355 0.355 0.077
V 0.645 0.645 0.923
S 0.137 0.137 0.891
S 0.345 0.345 0.385
S 0.405 0.405 0.810
S 0.595 0.595 0.190
S 0.655 0.655 0.615
S 0.863 0.863 0.109

Peak list (6 most intense, 10° ≤ 2θ ≤ 90°, most intense first)
two_theta	I_rel
25.65	100
38.97	89
23.61	74
34.13	70
11.75	50
21.04	47